Tl2S5: computed powder diffractogram (CuKα), based on a cell relaxed with PBE.
Neutral-atom scattering factors, no anomalous dispersion.

Structure:
Unit cell a=6.845 b=6.985 c=16.979 alpha=90.00 beta=90.00 gamma=90.00
Positions (direct):
1 Tl 0.066 0.180 0.355
2 Tl 0.203 0.390 0.966
3 Tl 0.297 0.610 0.466
4 Tl 0.434 0.820 0.855
5 Tl 0.566 0.320 0.645
6 Tl 0.703 0.110 0.034
7 Tl 0.797 0.890 0.534
8 Tl 0.934 0.680 0.145
9 S 0.043 0.743 0.328
10 S 0.071 0.630 0.696
11 S 0.075 0.380 0.627
12 S 0.078 0.929 0.975
13 S 0.242 0.174 0.145
14 S 0.258 0.826 0.645
15 S 0.422 0.071 0.475
16 S 0.425 0.620 0.127
17 S 0.429 0.370 0.196
18 S 0.457 0.257 0.828
19 S 0.543 0.757 0.672
20 S 0.571 0.870 0.304
21 S 0.575 0.120 0.373
22 S 0.578 0.571 0.025
23 S 0.742 0.326 0.855
24 S 0.758 0.674 0.355
25 S 0.922 0.429 0.525
26 S 0.925 0.880 0.873
27 S 0.929 0.130 0.804
28 S 0.957 0.243 0.172

Top 6 peaks for 15° ≤ 2θ ≤ 90°, low angle first:
| Position (°2θ) | I_rel | h k l |
| --- | --- | --- |
| 20.19 | 53 | 0 1 3 |
| 20.97 | 100 | 1 1 2 |
| 29.19 | 89 | 1 2 1 |
| 29.36 | 40 | 1 0 5 |
| 29.54 | 59 | 2 1 1 |
| 30.55 | 73 | 2 0 3 |

***

TlS: computed powder diffractogram (CuKα), based on a cell relaxed with PBE.
Neutral-atom scattering factors, no anomalous dispersion.

Structure:
Unit cell a=6.646 b=6.646 c=10.883 alpha=90.00 beta=90.00 gamma=90.00
Positions (direct):
1 Tl 0.201 0.201 0.000
2 Tl 0.238 0.238 0.500
3 Tl 0.262 0.738 0.250
4 Tl 0.299 0.701 0.750
5 Tl 0.701 0.299 0.250
6 Tl 0.738 0.262 0.750
7 Tl 0.762 0.762 0.000
8 Tl 0.799 0.799 0.500
9 S 0.194 0.768 0.530
10 S 0.232 0.806 0.970
11 S 0.268 0.306 0.780
12 S 0.306 0.268 0.220
13 S 0.694 0.732 0.720
14 S 0.732 0.694 0.280
15 S 0.768 0.194 0.470
16 S 0.806 0.232 0.030

Top 6 peaks for 15° ≤ 2θ ≤ 90°, low angle first:
| Position (°2θ) | I_rel | h k l |
| --- | --- | --- |
| 25.04 | 100 | 1 1 2 |
| 26.83 | 74 | 2 0 0 |
| 32.92 | 25 | 0 0 4 |
| 38.31 | 23 | 2 2 0 |
| 42.97 | 39 | 2 0 4 |
| 46.31 | 28 | 3 1 2 |

***

Tl5S3: computed powder diffractogram (CuKα), based on a cell relaxed with PBE.
Neutral-atom scattering factors, no anomalous dispersion.

Structure:
Unit cell a=12.601 b=8.642 c=8.584 alpha=90.00 beta=90.00 gamma=90.00
Positions (direct):
1 Tl 0.035 0.250 0.006
2 Tl 0.105 0.557 0.329
3 Tl 0.105 0.943 0.329
4 Tl 0.162 0.250 0.649
5 Tl 0.202 0.750 0.734
6 Tl 0.298 0.250 0.234
7 Tl 0.338 0.750 0.149
8 Tl 0.395 0.057 0.829
9 Tl 0.395 0.443 0.829
10 Tl 0.465 0.750 0.506
11 Tl 0.535 0.250 0.494
12 Tl 0.605 0.557 0.171
13 Tl 0.605 0.943 0.171
14 Tl 0.662 0.250 0.851
15 Tl 0.702 0.750 0.766
16 Tl 0.798 0.250 0.266
17 Tl 0.838 0.750 0.351
18 Tl 0.895 0.057 0.671
19 Tl 0.895 0.443 0.671
20 Tl 0.965 0.750 0.994
21 S 0.023 0.250 0.362
22 S 0.209 0.004 0.017
23 S 0.209 0.496 0.017
24 S 0.291 0.504 0.517
25 S 0.291 0.996 0.517
26 S 0.477 0.750 0.862
27 S 0.523 0.250 0.138
28 S 0.709 0.004 0.483
29 S 0.709 0.496 0.483
30 S 0.791 0.504 0.983
31 S 0.791 0.996 0.983
32 S 0.977 0.750 0.638

Top 6 peaks for 15° ≤ 2θ ≤ 90°, low angle first:
| Position (°2θ) | I_rel | h k l |
| --- | --- | --- |
| 24.15 | 29 | 1 2 1 |
| 27.11 | 100 | 2 2 1 |
| 30.21 | 62 | 4 0 1 |
| 31.51 | 27 | 3 2 1 |
| 32.05 | 68 | 1 0 3 |
| 32.66 | 44 | 2 2 2 |

***

TlS: computed powder diffractogram (CuKα), based on a cell relaxed with PBE.
Neutral-atom scattering factors, no anomalous dispersion.

Structure:
Unit cell a=3.959 b=12.381 c=6.466 alpha=90.00 beta=90.00 gamma=90.00
Positions (direct):
1 Tl 0.000 0.000 0.000
2 Tl 0.000 0.337 0.982
3 Tl 0.000 0.663 0.982
4 Tl 0.500 0.163 0.482
5 Tl 0.500 0.500 0.500
6 Tl 0.500 0.837 0.482
7 S 0.000 0.000 0.517
8 S 0.000 0.311 0.553
9 S 0.000 0.689 0.553
10 S 0.500 0.189 0.053
11 S 0.500 0.500 0.017
12 S 0.500 0.811 0.053

Top 6 peaks for 15° ≤ 2θ ≤ 90°, low angle first:
| Position (°2θ) | I_rel | h k l |
| --- | --- | --- |
| 25.61 | 88 | 0 3 1 |
| 26.40 | 80 | 1 0 1 |
| 27.59 | 66 | 0 0 2 |
| 31.31 | 100 | 1 3 0 |
| 42.21 | 83 | 1 3 2 |
| 51.93 | 29 | 1 6 1 |

***

TlS: computed powder diffractogram (CuKα), based on a cell relaxed with PBE.
Neutral-atom scattering factors, no anomalous dispersion.

Structure:
Unit cell a=4.049 b=4.049 c=21.789 alpha=90.00 beta=90.00 gamma=120.00
Positions (direct):
1 Tl 0.000 0.000 0.000
2 Tl 0.000 0.000 0.500
3 Tl 0.333 0.667 0.167
4 Tl 0.333 0.667 0.667
5 Tl 0.667 0.333 0.333
6 Tl 0.667 0.333 0.833
7 S 0.000 0.000 0.236
8 S 0.000 0.000 0.764
9 S 0.333 0.667 0.431
10 S 0.333 0.667 0.903
11 S 0.667 0.333 0.097
12 S 0.667 0.333 0.569

Top 6 peaks for 15° ≤ 2θ ≤ 90°, low angle first:
| Position (°2θ) | I_rel | h k l |
| --- | --- | --- |
| 24.51 | 30 | 0 0 6 |
| 26.71 | 70 | 0 1 2 |
| 30.31 | 100 | 1 0 4 |
| 42.00 | 39 | 0 1 8 |
| 44.76 | 35 | 1 1 0 |
| 51.69 | 26 | 1 1 6 |

***

TlS6: computed powder diffractogram (CuKα), based on a cell relaxed with PBE.
Neutral-atom scattering factors, no anomalous dispersion.

Structure:
Unit cell a=5.847 b=7.200 c=19.353 alpha=90.00 beta=90.75 gamma=90.00
Positions (direct):
1 Tl 0.222 0.045 0.251
2 Tl 0.222 0.455 0.751
3 Tl 0.778 0.545 0.249
4 Tl 0.778 0.955 0.749
5 S 0.166 0.189 0.580
6 S 0.166 0.311 0.080
7 S 0.185 0.723 0.918
8 S 0.185 0.777 0.418
9 S 0.245 0.736 0.622
10 S 0.245 0.764 0.122
11 S 0.252 0.502 0.159
12 S 0.252 0.998 0.659
13 S 0.254 0.178 0.879
14 S 0.254 0.322 0.379
15 S 0.259 0.582 0.341
16 S 0.259 0.918 0.841
17 S 0.741 0.082 0.159
18 S 0.741 0.418 0.659
19 S 0.746 0.678 0.621
20 S 0.746 0.822 0.121
21 S 0.748 0.002 0.341
22 S 0.748 0.498 0.841
23 S 0.755 0.236 0.878
24 S 0.755 0.264 0.378
25 S 0.815 0.223 0.582
26 S 0.815 0.277 0.082
27 S 0.834 0.689 0.920
28 S 0.834 0.811 0.420

Top 6 peaks for 15° ≤ 2θ ≤ 90°, low angle first:
| Position (°2θ) | I_rel | h k l |
| --- | --- | --- |
| 20.10 | 62 | 1 1 1 |
| 23.86 | 65 | 1 1 -3 |
| 24.09 | 66 | 1 1 3 |
| 26.42 | 56 | 0 2 2 |
| 30.19 | 54 | 1 1 -5 |
| 30.54 | 100 | 2 0 0 |